Theoretical XRD peak list
Compound: MgCu6PbO8
Radiation: Cu Kα X-rays
Structure: a crystal structure in the Materials Project, relaxed with GGA-PBE

The 6 most intense peaks (2θ = 5–70°), by angle:
- (1 1 1), 16.4 deg, rel. 58
- (2 2 2), 33.1 deg, rel. 100
- (4 0 0), 38.4 deg, rel. 34
- (3 3 1), 42.0 deg, rel. 22
- (4 4 0), 55.5 deg, rel. 43
- (6 2 2), 66.2 deg, rel. 38

Atomic structure:
```
data_MgCu6PbO8
_cell_length_a 9.369
_cell_length_b 9.369
_cell_length_c 9.369
_cell_angle_alpha 90.00
_cell_angle_beta 90.00
_cell_angle_gamma 90.00
_space_group_name_H-M_alt 'F m -3 m'
_space_group_IT_number 225
_space_group_name_Hall '-F 4 2 3'
loop_
_atom_site_label
_atom_site_fract_x
_atom_site_fract_y
_atom_site_fract_z
Mg1 0.000 0.000 0.000
Cu1 0.000 0.250 0.250
Pb1 0.000 0.000 0.500
O1 0.144 0.144 0.356
```

Theoretical XRD peak list
Compound: MgCu2Pd2O4
Radiation: Cu Kα X-rays
Structure: a crystal structure in the Materials Project, relaxed with GGA-PBE

The 6 most intense peaks (2θ = 5–70°), by angle:
- (1 1 -1), 30.7 deg, rel. 100
- (1 1 1), 32.3 deg, rel. 89
- (0 2 0), 33.7 deg, rel. 36
- (0 0 2), 37.6 deg, rel. 27
- (0 2 2), 51.4 deg, rel. 41
- (2 2 0), 51.8 deg, rel. 40

Atomic structure:
```
data_MgCu2Pd2O4
_cell_length_a 4.735
_cell_length_b 5.323
_cell_length_c 4.793
_cell_angle_alpha 90.00
_cell_angle_beta 94.07
_cell_angle_gamma 90.00
_space_group_name_H-M_alt 'P 1 2/m 1'
_space_group_IT_number 10
_space_group_name_Hall '-P 2y'
loop_
_atom_site_label
_atom_site_fract_x
_atom_site_fract_y
_atom_site_fract_z
Mg1 0.000 0.000 0.000
Cu1 0.500 0.000 0.000
Cu2 0.500 0.500 0.500
Pd1 0.000 0.000 0.500
Pd2 0.000 0.500 0.000
O1 0.245 0.245 0.239
```

Theoretical XRD peak list
Compound: MgCu2Pd2O4
Radiation: Cu Kα X-rays
Structure: a crystal structure in the Materials Project, relaxed with GGA-PBE

The 6 most intense peaks (2θ = 5–70°), by angle:
- (1 1 -1), 30.4 deg, rel. 100
- (1 1 1), 32.9 deg, rel. 82
- (0 2 0), 33.9 deg, rel. 34
- (0 0 2), 37.8 deg, rel. 25
- (0 2 2), 51.7 deg, rel. 58
- (2 2 0), 52.1 deg, rel. 38

Atomic structure:
```
data_MgCu2Pd2O4
_cell_length_a 4.720
_cell_length_b 5.281
_cell_length_c 4.783
_cell_angle_alpha 90.00
_cell_angle_beta 96.08
_cell_angle_gamma 90.00
_space_group_name_H-M_alt 'P 1 2/m 1'
_space_group_IT_number 10
_space_group_name_Hall '-P 2y'
loop_
_atom_site_label
_atom_site_fract_x
_atom_site_fract_y
_atom_site_fract_z
Mg1 0.000 0.000 0.000
Cu1 0.000 0.500 0.000
Cu2 0.500 0.000 0.000
Pd1 0.000 0.000 0.500
Pd2 0.500 0.500 0.500
O1 0.243 0.248 0.241
```

Theoretical XRD peak list
Compound: MgCu2Pd2O4
Radiation: Cu Kα X-rays
Structure: a crystal structure in the Materials Project, relaxed with GGA-PBE

The 6 most intense peaks (2θ = 5–70°), by angle:
- (1 0 1), 25.8 deg, rel. 32
- (1 1 -1), 31.6 deg, rel. 100
- (1 1 1), 32.1 deg, rel. 77
- (0 1 2), 36.4 deg, rel. 73
- (0 2 0), 38.0 deg, rel. 33
- (2 2 0), 57.3 deg, rel. 32

Atomic structure:
```
data_MgCu2Pd2O4
_cell_length_a 4.389
_cell_length_b 4.732
_cell_length_c 5.780
_cell_angle_alpha 90.00
_cell_angle_beta 91.45
_cell_angle_gamma 90.00
_space_group_name_H-M_alt 'P 1 2 1'
_space_group_IT_number 3
_space_group_name_Hall 'P 2y'
loop_
_atom_site_label
_atom_site_fract_x
_atom_site_fract_y
_atom_site_fract_z
Mg1 0.000 0.000 0.000
Cu1 0.248 0.107 0.428
Pd1 0.261 0.607 0.757
O1 0.000 0.411 0.500
O2 0.000 0.413 0.000
O3 0.500 0.802 0.500
O4 0.500 0.843 0.000
```

Theoretical XRD peak list
Compound: Pr4MgCu2O8
Radiation: Cu Kα X-rays
Structure: a crystal structure in the Materials Project, relaxed with GGA-PBE

The 6 most intense peaks (2θ = 5–70°), by angle:
- (3 1 -1), 29.1 deg, rel. 100
- (3 1 1), 29.5 deg, rel. 87
- (6 0 0), 31.0 deg, rel. 50
- (0 2 0), 33.0 deg, rel. 51
- (6 2 0), 45.9 deg, rel. 43
- (0 2 2), 51.0 deg, rel. 35

Atomic structure:
```
data_Pr4MgCu2O8
_cell_length_a 17.315
_cell_length_b 5.427
_cell_length_c 4.775
_cell_angle_alpha 90.00
_cell_angle_beta 91.22
_cell_angle_gamma 90.00
_space_group_name_H-M_alt 'C 1 2/m 1'
_space_group_IT_number 12
_space_group_name_Hall '-C 2y'
loop_
_atom_site_label
_atom_site_fract_x
_atom_site_fract_y
_atom_site_fract_z
Pr1 0.154 0.000 0.467
Pr2 0.174 0.500 0.024
Mg1 0.000 0.500 0.000
Cu1 0.000 0.000 0.000
Cu2 0.000 0.500 0.500
O1 0.062 0.261 0.223
O2 0.191 0.000 0.968
O3 0.202 0.500 0.528
```

Theoretical XRD peak list
Compound: MgCuPtO2
Radiation: Cu Kα X-rays
Structure: a crystal structure in the Materials Project, relaxed with GGA-PBE

The 6 most intense peaks (2θ = 5–70°), by angle:
- (0 0 1), 15.8 deg, rel. 56
- (0 1 1), 25.0 deg, rel. 100
- (0 0 2), 31.8 deg, rel. 31
- (1 0 1), 35.1 deg, rel. 41
- (1 1 0), 36.9 deg, rel. 42
- (1 1 2), 49.5 deg, rel. 56

Atomic structure:
```
data_MgCuPtO2
_cell_length_a 2.871
_cell_length_b 4.594
_cell_length_c 5.620
_cell_angle_alpha 90.00
_cell_angle_beta 90.00
_cell_angle_gamma 90.00
_space_group_name_H-M_alt 'P m m m'
_space_group_IT_number 47
_space_group_name_Hall '-P 2 2'
loop_
_atom_site_label
_atom_site_fract_x
_atom_site_fract_y
_atom_site_fract_z
Mg1 0.000 0.000 0.000
Cu1 0.000 0.000 0.500
Pt1 0.500 0.500 0.000
O1 0.500 0.000 0.258
```

Theoretical XRD peak list
Compound: MgCuPtO2
Radiation: Cu Kα X-rays
Structure: a crystal structure in the Materials Project, relaxed with GGA-PBE

The 6 most intense peaks (2θ = 5–70°), by angle:
- (0 1 0), 19.8 deg, rel. 56
- (0 1 1), 25.2 deg, rel. 100
- (0 0 2), 31.3 deg, rel. 33
- (1 0 1), 34.1 deg, rel. 47
- (1 1 0), 36.3 deg, rel. 46
- (1 1 2), 48.7 deg, rel. 61

Atomic structure:
```
data_MgCuPtO2
_cell_length_a 2.967
_cell_length_b 4.495
_cell_length_c 5.713
_cell_angle_alpha 90.00
_cell_angle_beta 90.00
_cell_angle_gamma 90.00
_space_group_name_H-M_alt 'P m m m'
_space_group_IT_number 47
_space_group_name_Hall '-P 2 2'
loop_
_atom_site_label
_atom_site_fract_x
_atom_site_fract_y
_atom_site_fract_z
Mg1 0.000 0.000 0.000
Cu1 0.500 0.500 0.000
Pt1 0.000 0.000 0.500
O1 0.500 0.000 0.249
```

Theoretical XRD peak list
Compound: MgCuPtO2
Radiation: Cu Kα X-rays
Structure: a crystal structure in the Materials Project, relaxed with GGA-PBE

The 6 most intense peaks (2θ = 5–70°), by angle:
- (0 0 1), 11.4 deg, rel. 100
- (0 0 2), 23.0 deg, rel. 39
- (0 1 1), 33.4 deg, rel. 69
- (1 0 1), 34.2 deg, rel. 59
- (1 0 2), 39.8 deg, rel. 31
- (1 1 2), 51.5 deg, rel. 37

Atomic structure:
```
data_MgCuPtO2
_cell_length_a 2.789
_cell_length_b 2.859
_cell_length_c 7.742
_cell_angle_alpha 90.00
_cell_angle_beta 90.00
_cell_angle_gamma 90.00
_space_group_name_H-M_alt 'P m m 2'
_space_group_IT_number 25
_space_group_name_Hall 'P 2 -2'
loop_
_atom_site_label
_atom_site_fract_x
_atom_site_fract_y
_atom_site_fract_z
Mg1 0.000 0.000 0.000
Cu1 0.000 0.500 0.312
Pt1 0.500 0.000 0.688
O1 0.500 0.500 0.102
O2 0.500 0.500 0.486
```